[1]
For AlCr2N3, the GGA-PBE geometry in Alexandria gives the computed X-ray diffraction stick pattern in this record (copper Kα).

Atomic structure:
a b c (Å): 10.608 5.616 3.934
angles (deg): 90.00 90.00 90.00
Space group Cmcm (No. 63)
Inequivalent atoms, fractional coordinates:
Al  0.000  0.163  0.250 [4 per cell]
Cr  0.181  0.342  0.750 [8 per cell]
N  0.000  0.181  0.750 [4 per cell]
N  0.159  0.318  0.250 [8 per cell]

Peak list (6 most intense, 2θ from 10° to 80°, sorted by position)
Position (°2θ)  I/Imax  hkl
16.71  43  2 0 0
29.86  100  3 1 0
37.77  71  3 1 1
39.42  50  0 2 1
46.15  52  0 0 2
55.54  50  3 3 0

---

[2]
For Al2CrN3, the GGA-PBE geometry in Alexandria gives the computed X-ray diffraction stick pattern in this record (copper Kα).

Atomic structure:
a b c (Å): 9.461 5.551 5.028
angles (deg): 90.00 90.00 90.00
Space group Cmc2_1 (No. 36)
Inequivalent atoms, fractional coordinates:
Al  0.170  0.162  0.000 [8 per cell]
Cr  0.000  0.345  0.503 [4 per cell]
N  0.000  0.320  0.116 [4 per cell]
N  0.172  0.160  0.622 [8 per cell]

Peak list (6 most intense, 2θ from 10° to 80°, sorted by position)
Position (°2θ)  I/Imax  hkl
32.66  96  3 1 0
35.72  83  0 0 2
37.00  63  0 2 1
37.36  100  3 1 1
57.77  52  3 3 0
65.25  44  3 1 3